Structure and simulated powder XRD pattern of Ac2La7Nd4 (a crystal structure in Alexandria, relaxed with GGA-PBE; λ = 1.5418 Å (Cu Kα)).
Neutral-atom scattering factors, no anomalous dispersion.

Most intense lines, 2θ = 15–90°, low angle first:
d/Å	2θ (°)	I_rel	h k l
3.272	27.3	28.1	-1 1 1
3.136	28.5	100.0	0 0 4
3.092	28.9	42.7	1 2 -1
3.038	29.4	15.4	1 -1 2
2.963	30.2	27.0	-1 1 2
2.810	31.8	33.1	1 2 3
2.766	32.4	16.8	2 0 2
2.710	33.0	27.6	2 1 -2
2.686	33.4	31.4	1 -1 3
1.635	56.3	19.0	4 2 0

Structure:
```
data_Ac2La7Nd4
_chemical_formula_sum 'Ac2 La7 Nd4'
_space_group_name_H-M_alt 'P -1'
_space_group_IT_number 2
_space_group_name_Hall '-P 1'
_cell_length_a 6.6462
_cell_length_b 6.7075
_cell_length_c 12.7715
_cell_angle_alpha 81.69
_cell_angle_beta 79.95
_cell_angle_gamma 61.59
loop_
_atom_site_label
_atom_site_type_symbol
_atom_site_fract_x
_atom_site_fract_y
_atom_site_fract_z
_atom_site_occupancy
Ac1 Ac 0.1675 0.1695 0.0001 1
La1 La 0.0874 0.8173 0.2336 1
La2 La 0.2018 0.5457 0.7416 1
La3 La 0.4478 0.0895 0.2492 1
La4 La 0.5000 0.5000 0.0000 1
Nd1 Nd 0.2370 0.9850 0.5192 1
Nd2 Nd 0.2778 0.4765 0.4569 1
```


Structure and simulated powder XRD pattern of DyEr2Tm4Mg (a crystal structure in Alexandria, relaxed with GGA-PBE; λ = 1.5418 Å (Cu Kα)).
Neutral-atom scattering factors, no anomalous dispersion.

Most intense lines, 2θ = 15–90°, low angle first:
d/Å	2θ (°)	I_rel	h k l
2.866	31.2	42.8	4 0 0
2.806	31.9	100.0	1 1 2
2.797	32.0	54.1	2 0 -4
2.718	33.0	15.5	2 0 3
2.585	34.7	87.1	3 1 -2
2.213	40.8	18.0	2 0 4
1.814	50.3	15.7	0 2 0
1.667	55.1	19.4	1 1 -6
1.529	60.6	26.7	5 1 -6
1.522	60.9	17.4	2 2 -4

Structure:
```
data_DyEr2Tm4Mg
_chemical_formula_sum 'Dy2 Er4 Tm8 Mg2'
_space_group_name_H-M_alt 'C 1 2/m 1'
_space_group_IT_number 12
_space_group_name_Hall '-C 2y'
_cell_length_a 12.0051
_cell_length_b 3.6287
_cell_length_c 11.3774
_cell_angle_alpha 90.00
_cell_angle_beta 107.28
_cell_angle_gamma 90.00
loop_
_atom_site_label
_atom_site_type_symbol
_atom_site_fract_x
_atom_site_fract_y
_atom_site_fract_z
_atom_site_occupancy
Dy1 Dy 0.0000 0.0000 0.0000 1
Er1 Er 0.0243 0.5000 0.2735 1
Tm1 Tm 0.2187 0.5000 0.6092 1
Tm2 Tm 0.2365 0.0000 0.8669 1
Mg1 Mg 0.0000 0.0000 0.5000 1
```


Structure and simulated powder XRD pattern of AlTl2Sn2 (a crystal structure in Alexandria, relaxed with GGA-PBE; λ = 1.5418 Å (Cu Kα)).
Neutral-atom scattering factors, no anomalous dispersion.

Most intense lines, 2θ = 15–90°, low angle first:
d/Å	2θ (°)	I_rel	h k l
5.171	17.1	11.3	1 1 0
3.656	24.3	13.8	2 0 0
3.038	29.4	10.8	2 0 1
2.806	31.9	100.0	2 1 1
2.730	32.8	23.0	0 0 2
2.312	38.9	15.7	3 1 0
1.765	51.8	14.0	3 1 2
1.687	54.4	17.0	4 1 1
1.590	58.0	18.9	2 1 3
1.318	71.6	10.4	5 2 1

Structure:
```
data_AlTl2Sn2
_chemical_formula_sum 'Al2 Tl4 Sn4'
_space_group_name_H-M_alt 'P 4/m b m'
_space_group_IT_number 127
_space_group_name_Hall '-P 4 2ab'
_cell_length_a 7.3125
_cell_length_b 7.3125
_cell_length_c 5.4603
_cell_angle_alpha 90.00
_cell_angle_beta 90.00
_cell_angle_gamma 90.00
loop_
_atom_site_label
_atom_site_type_symbol
_atom_site_fract_x
_atom_site_fract_y
_atom_site_fract_z
_atom_site_occupancy
Al1 Al 0.0000 0.0000 0.0000 1
Tl1 Tl 0.1730 0.3270 0.5000 1
Sn1 Sn 0.1428 0.6428 0.0000 1
```


Structure and simulated powder XRD pattern of TiCu2HAu (a crystal structure in Alexandria, relaxed with GGA-PBE; λ = 1.5418 Å (Cu Kα)).
Neutral-atom scattering factors, no anomalous dispersion.

Most intense lines, 2θ = 15–90°, low angle first:
d/Å	2θ (°)	I_rel	h k l
3.975	22.4	31.1	1 0 0
2.780	32.2	27.4	1 0 1
2.278	39.6	100.0	1 1 1
1.987	45.6	33.4	2 0 0
1.944	46.7	15.6	0 0 2
1.617	57.0	11.6	2 1 1
1.390	67.4	20.0	2 0 2
1.196	80.3	24.2	3 1 1
1.177	81.8	11.5	1 1 3
1.139	85.2	10.6	2 2 2

Structure:
```
data_TiCu2HAu
_chemical_formula_sum 'Ti1 Cu2 H1 Au1'
_space_group_name_H-M_alt 'P 4/m m m'
_space_group_IT_number 123
_space_group_name_Hall '-P 4 2'
_cell_length_a 3.9749
_cell_length_b 3.9749
_cell_length_c 3.8889
_cell_angle_alpha 90.00
_cell_angle_beta 90.00
_cell_angle_gamma 90.00
loop_
_atom_site_label
_atom_site_type_symbol
_atom_site_fract_x
_atom_site_fract_y
_atom_site_fract_z
_atom_site_occupancy
Ti1 Ti 0.0000 0.0000 0.0000 1
Cu1 Cu 0.0000 0.5000 0.5000 1
H1 H 0.0000 0.0000 0.5000 1
Au1 Au 0.5000 0.5000 0.0000 1
```


Structure and simulated powder XRD pattern of La4N2Cl5 (a crystal structure in Alexandria, relaxed with GGA-PBE; λ = 1.5418 Å (Cu Kα)).
Neutral-atom scattering factors, no anomalous dispersion.

Most intense lines, 2θ = 15–90°, low angle first:
d/Å	2θ (°)	I_rel	h k l
4.670	19.0	26.7	0 1 3
3.652	24.4	32.9	0 2 2
3.183	28.0	44.3	1 1 2
3.159	28.3	51.5	1 0 3
2.863	31.2	61.2	0 0 6
2.725	32.9	100.0	1 2 1
2.434	36.9	49.1	0 3 3
2.194	41.1	23.2	1 3 0
2.152	42.0	63.1	1 2 5
1.894	48.1	30.5	2 0 0

Structure:
```
data_La4N2Cl5
_chemical_formula_sum 'La8 N4 Cl10'
_space_group_name_H-M_alt 'I m m m'
_space_group_IT_number 71
_space_group_name_Hall '-I 2 2'
_cell_length_a 3.7846
_cell_length_b 8.0685
_cell_length_c 17.1802
_cell_angle_alpha 90.00
_cell_angle_beta 90.00
_cell_angle_gamma 90.00
loop_
_atom_site_label
_atom_site_type_symbol
_atom_site_fract_x
_atom_site_fract_y
_atom_site_fract_z
_atom_site_occupancy
La1 La 0.0000 0.0000 0.1764 1
La2 La 0.0000 0.2914 0.5000 1
N1 N 0.0000 0.0000 0.0403 1
Cl1 Cl 0.0000 0.2141 0.3332 1
Cl2 Cl 0.0000 0.5000 0.0000 1
```


Structure and simulated powder XRD pattern of Li2Zn3 (a crystal structure in Alexandria, relaxed with GGA-PBE; λ = 1.5418 Å (Cu Kα)).
Neutral-atom scattering factors, no anomalous dispersion.

Most intense lines, 2θ = 15–90°, low angle first:
d/Å	2θ (°)	I_rel	h k l
4.062	21.9	25.2	1 1 1
3.790	23.5	89.0	2 2 0
3.067	29.1	57.8	1 3 1
2.312	39.0	26.9	4 0 0
2.261	39.9	24.2	0 2 2
2.248	40.1	100.0	1 5 1
2.237	40.3	44.4	3 3 1
2.183	41.4	27.5	4 2 0
2.134	42.3	72.6	2 0 2
1.853	49.2	37.7	3 5 1

Structure:
```
data_Li2Zn3
_chemical_formula_sum 'Li16 Zn24'
_space_group_name_H-M_alt 'F d d 2'
_space_group_IT_number 43
_space_group_name_Hall 'F 2 -2d'
_cell_length_a 9.2492
_cell_length_b 13.2252
_cell_length_c 4.8119
_cell_angle_alpha 90.00
_cell_angle_beta 90.00
_cell_angle_gamma 90.00
loop_
_atom_site_label
_atom_site_type_symbol
_atom_site_fract_x
_atom_site_fract_y
_atom_site_fract_z
_atom_site_occupancy
Li1 Li 0.0300 0.3008 0.0000 1
Zn1 Zn 0.0000 0.0000 0.4439 1
Zn2 Zn 0.0405 0.3997 0.4723 1
```


Structure and simulated powder XRD pattern of Ba6NiPd (a crystal structure in Alexandria, relaxed with GGA-PBE; λ = 1.5418 Å (Cu Kα)).
Neutral-atom scattering factors, no anomalous dispersion.

Most intense lines, 2θ = 15–90°, low angle first:
d/Å	2θ (°)	I_rel	h k l
3.737	23.8	16.2	0 0 4
3.475	25.6	100.0	1 1 2
2.706	33.1	35.6	2 -1 4
2.266	39.8	30.1	3 0 0
2.103	43.0	24.6	2 -1 6
1.937	46.9	15.1	3 0 4
1.898	47.9	17.5	4 -2 2
1.455	64.0	14.4	4 1 2
1.442	64.7	14.2	3 0 8
1.274	74.4	9.3	5 -1 6

Structure:
```
data_Ba6NiPd
_chemical_formula_sum 'Ba12 Ni2 Pd2'
_space_group_name_H-M_alt 'P -3 1 c'
_space_group_IT_number 163
_space_group_name_Hall '-P 3 2c'
_cell_length_a 7.8489
_cell_length_b 7.8489
_cell_length_c 14.9473
_cell_angle_alpha 90.00
_cell_angle_beta 90.00
_cell_angle_gamma 120.00
loop_
_atom_site_label
_atom_site_type_symbol
_atom_site_fract_x
_atom_site_fract_y
_atom_site_fract_z
_atom_site_occupancy
Ba1 Ba 0.0082 0.3291 0.1238 1
Ni1 Ni 0.0000 0.0000 0.0000 1
Pd1 Pd 0.3333 0.6667 0.2500 1
```